Tl6FeO12: simulated X-ray powder pattern (Cu Ka), based on a DFT-relaxed cell (GGA+U, Alexandria).
Neutral-atom scattering factors, no anomalous dispersion.

Main lines, in order of falling intensity (10 to 80 degrees two-theta):
d (Å)  2θ (°)  intensity
3.037  29.4  100
2.660  33.7  52
3.182  28.0  37
1.914  47.5  30
1.599  57.7  25
1.849  49.3  25
4.893  18.1  16
1.640  56.1  16

Structural model:
```
19
Lattice="4.893 2.825 3.182 -4.893 2.825 3.182 0.000 -5.650 3.182" Properties=species:S:1:pos:R:3 pbc="T T T"
Tl -3.372 -1.025 4.894
Tl -0.798 -3.433 4.652
Tl -2.574 2.408 4.652
Tl 2.574 -2.408 4.894
Tl 0.798 3.433 4.894
Tl 3.372 1.025 4.652
Fe 0.000 0.000 4.773
O -4.030 0.907 4.126
O -2.800 -3.037 5.420
O -1.085 -1.185 3.739
O 1.230 -3.944 4.126
O -0.484 1.532 3.739
O -1.568 0.347 5.808
O 1.568 -0.347 3.739
O 0.484 -1.532 5.808
O -1.230 3.944 5.420
O 1.085 1.185 5.808
O 2.800 3.037 4.126
O 4.030 -0.907 5.420
```